(1)
The following is a calculated PXRD pattern of AlSCl3O2. It was derived from a DFT-relaxed cell (PBE, Alexandria), using Cu Kα X-rays.
Peak positions follow from Bragg's law for the DFT cell and can differ from measured ones.

Cell and atoms:
Unit cell a=6.5453 b=7.9501 c=8.1309 alpha=92.85 beta=107.17 gamma=109.26
Space group P-1 (No. 2)
Unique sites:
Al1 0.1928 0.1956 0.3450 [2 per cell]
S1 0.1018 0.2306 0.7161 [2 per cell]
Cl1 0.0225 0.3067 0.1424 [2 per cell]
Cl2 0.4101 0.1993 0.8508 [2 per cell]
Cl3 0.4492 0.7237 0.5914 [2 per cell]
O1 0.0781 0.9502 0.2897 [2 per cell]
O2 0.1117 0.2402 0.5327 [2 per cell]

Main lines, sorted by position (10 to 80 degrees two-theta):
7.664 Å, 11.55°, I = 24.2, (0 0 1)
5.831 Å, 15.19°, I = 20.1, (1 0 0)
5.687 Å, 15.58°, I = 66.7, (1 -1 0)
3.942 Å, 22.56°, I = 18.9, (1 1 0)
3.835 Å, 23.19°, I = 27.7, (1 0 -2)
3.702 Å, 24.04°, I = 100.0, (0 2 0)
3.515 Å, 25.34°, I = 95.9, (-1 1 2)
3.308 Å, 26.95°, I = 33.2, (1 1 -2)
3.138 Å, 28.44°, I = 18.2, (0 2 1)
2.919 Å, 30.62°, I = 32.7, (1 -1 2)


(2)
The following is a calculated PXRD pattern of AlSClO. It was derived from a DFT-relaxed cell (PBE, Alexandria), using Cu Kα X-rays.
Peak positions follow from Bragg's law for the DFT cell and can differ from measured ones.

Cell and atoms:
Unit cell a=3.1480 b=4.1309 c=6.6483 alpha=81.80 beta=83.79 gamma=73.95
Space group P1 (No. 1)
Unique sites:
Al1 0.0000 0.0000 0.0000 [1 per cell]
S1 0.0974 0.5198 0.2294 [1 per cell]
Cl1 0.6271 0.8523 0.7563 [1 per cell]
O1 0.3957 0.2306 0.0642 [1 per cell]

Main lines, sorted by position (10 to 80 degrees two-theta):
6.563 Å, 13.49°, I = 100.0, (0 0 1)
3.570 Å, 24.94°, I = 14.8, (0 1 1)
3.216 Å, 27.74°, I = 52.9, (0 1 -1)
2.820 Å, 31.73°, I = 19.9, (1 0 1)
2.778 Å, 32.22°, I = 12.9, (1 1 0)
2.669 Å, 33.57°, I = 21.9, (1 0 -1)
2.387 Å, 37.68°, I = 15.1, (0 1 -2)
2.297 Å, 39.23°, I = 20.9, (1 1 2)
2.016 Å, 44.95°, I = 9.9, (0 1 3)
1.554 Å, 59.48°, I = 8.8, (2 1 1)


(3)
The following is a calculated PXRD pattern of Sr3Al2Cl2O5. It was derived from a DFT-relaxed cell (PBE, Alexandria), using Cu Kα X-rays.
Peak positions follow from Bragg's law for the DFT cell and can differ from measured ones.

Cell and atoms:
Unit cell a=9.5014 b=9.5090 c=9.5095 alpha=90.00 beta=90.00 gamma=90.00
Space group P2_12_12_1 (No. 19)
Unique sites:
Sr1 0.0141 0.2492 0.3382 [4 per cell]
Sr2 0.1617 0.4881 0.7358 [4 per cell]
Sr3 0.2322 0.8381 0.4991 [4 per cell]
Al1 0.1486 0.8470 0.8436 [4 per cell]
Al2 0.1565 0.1522 0.6483 [4 per cell]
Cl1 0.0366 0.5651 0.4346 [4 per cell]
Cl2 0.0752 0.4522 0.0468 [4 per cell]
O1 0.0135 0.2672 0.6049 [4 per cell]
O2 0.1048 0.9976 0.7401 [4 per cell]
O3 0.2290 0.7504 0.2548 [4 per cell]
O4 0.2392 0.1054 0.4863 [4 per cell]
O5 0.2458 0.7321 0.7375 [4 per cell]

Main lines, sorted by position (10 to 80 degrees two-theta):
3.881 Å, 22.91°, I = 71.8, (1 2 1)
3.006 Å, 29.72°, I = 100.0, (0 1 3)
2.541 Å, 35.33°, I = 78.0, (2 3 1)
2.241 Å, 40.25°, I = 14.4, (1 1 4)
2.126 Å, 42.53°, I = 40.4, (2 0 4)
1.941 Å, 46.82°, I = 12.2, (2 2 4)
1.864 Å, 48.85°, I = 31.7, (1 4 3)
1.736 Å, 52.74°, I = 12.8, (2 1 5)
1.542 Å, 59.98°, I = 32.6, (2 5 3)
1.467 Å, 63.41°, I = 19.3, (1 4 5)


(4)
The following is a calculated PXRD pattern of AlRe2OsCl. It was derived from a DFT-relaxed cell (PBE, Alexandria), using Cu Kα X-rays.
Peak positions follow from Bragg's law for the DFT cell and can differ from measured ones.

Cell and atoms:
Unit cell a=4.3441 b=4.3441 c=4.3611 alpha=90.00 beta=90.00 gamma=90.00
Space group P4/mmm (No. 123)
Unique sites:
Al1 0.0000 0.0000 0.0000 [1 per cell]
Re1 0.0000 0.5000 0.5000 [2 per cell]
Os1 0.5000 0.5000 0.0000 [1 per cell]
Cl1 0.5000 0.5000 0.5000 [1 per cell]

Main lines, sorted by position (10 to 80 degrees two-theta):
4.350 Å, 20.42°, I = 39.0, (1 0 0)
3.076 Å, 29.03°, I = 12.5, (1 0 1)
2.511 Å, 35.75°, I = 100.0, (1 1 1)
2.181 Å, 41.41°, I = 21.3, (0 0 2)
2.172 Å, 41.58°, I = 42.0, (2 0 0)
1.539 Å, 60.13°, I = 28.5, (2 0 2)
1.536 Å, 60.26°, I = 14.1, (2 2 0)
1.314 Å, 71.85°, I = 13.6, (1 1 3)
1.310 Å, 72.08°, I = 26.9, (3 1 1)
1.256 Å, 75.75°, I = 14.5, (2 2 2)